Simulated powder diffraction line list of K2FeH4S2O10 for Cu Kα (λ = 1.5418 Å), from the PBE+U geometry in the Materials Project.
No peak broadening, texture or thermal motion is included.

Crystal structure
Lattice parameters (Å, degrees): 6.5720 7.4655 10.7997 72.90 73.87 69.76
Atoms (fractional coordinates):
K 0.2081 0.2514 0.1004
K 0.2600 0.7390 0.4222
K 0.7400 0.2610 0.5778
K 0.7919 0.7486 0.8996
Fe 0.2531 0.0216 0.7512
Fe 0.7469 0.9784 0.2488
H 0.1652 0.4158 0.7141
H 0.2737 0.6524 0.8593
H 0.3635 0.3195 0.7959
H 0.3672 0.6778 0.7040
H 0.6328 0.3222 0.2960
H 0.6365 0.6805 0.2041
H 0.7263 0.3476 0.1407
H 0.8348 0.5842 0.2859
S 0.2504 0.7786 0.0727
S 0.2691 0.2302 0.4158
S 0.7309 0.7698 0.5842
S 0.7496 0.2214 0.9273
O 0.0725 0.3681 0.3643
O 0.0973 0.8824 0.1792
O 0.1440 0.6577 0.0395
O 0.1942 0.1089 0.5479
O 0.2371 0.7264 0.7724
O 0.2921 0.3013 0.7323
O 0.3071 0.9307 0.9526
O 0.3954 0.0930 0.3230
O 0.4176 0.3353 0.4261
O 0.4572 0.6559 0.1211
O 0.5429 0.3441 0.8789
O 0.5824 0.6647 0.5739
O 0.6046 0.9070 0.6770
O 0.6929 0.0693 0.0474
O 0.7079 0.6987 0.2677
O 0.7629 0.2736 0.2276
O 0.8058 0.8911 0.4521
O 0.8560 0.3423 0.9605
O 0.9027 0.1176 0.8208
O 0.9275 0.6319 0.6357

Top 8 peaks for 2θ = 15–90°, in order of falling intensity:
- 27.63 deg, intensity 100, (1 0 3)
- 29.55 deg, intensity 72, (2 0 0)
- 24.51 deg, intensity 58, (1 2 1)
- 32.84 deg, intensity 56, (1 0 -3)
- 15.81 deg, intensity 55, (1 1 1)
- 26.08 deg, intensity 32, (0 2 0)
- 28.12 deg, intensity 27, (0 2 2)
- 30.18 deg, intensity 27, (1 2 -1)